# 1
Structure and computed X-ray diffraction stick pattern of Ba2CaTl8 (a cell relaxed with GGA-PBE; Cu Kα, 1.54184 Å).
Peak positions follow from Bragg's law for the DFT cell and can differ from measured ones.

Cell: 9.9377 9.9377 5.7152 Å, 105.48 105.48 125.36°
Element x y z (fractional)
1 Ba 0.1915 0.8085 0.0000
2 Ba 0.8085 0.1915 0.0000
3 Ca 0.5000 0.5000 0.5000
4 Tl 0.0758 0.0758 0.3136
5 Tl 0.1591 0.3987 0.7974
6 Tl 0.3130 0.6870 0.5000
7 Tl 0.3987 0.1591 0.7974
8 Tl 0.6013 0.8409 0.2026
9 Tl 0.6870 0.3130 0.5000
10 Tl 0.8409 0.6013 0.2026
11 Tl 0.9242 0.9242 0.6864

Main lines, by intensity (2θ from 5° to 70°):
2θ 29.75, intensity 100
2θ 31.89, intensity 81
2θ 29.87, intensity 79
2θ 31.50, intensity 52
2θ 19.25, intensity 45
2θ 59.28, intensity 40

---

# 2
Structure and computed X-ray diffraction stick pattern of BaCaTlZn (a cell relaxed with GGA-PBE; Cu Kα, 1.54184 Å).
Peak positions follow from Bragg's law for the DFT cell and can differ from measured ones.

Cell: 5.6855 5.6855 5.6855 Å, 60.00 60.00 60.00°
Element x y z (fractional)
1 Ba 0.0000 0.0000 0.0000
2 Ca 0.5000 0.5000 0.5000
3 Tl 0.2500 0.2500 0.2500
4 Zn 0.7500 0.7500 0.7500

Main lines, by intensity (2θ from 5° to 70°):
2θ 31.47, intensity 100
2θ 56.03, intensity 38
2θ 19.12, intensity 27
2θ 45.10, intensity 18
2θ 37.08, intensity 16
2θ 65.69, intensity 12

---

# 3
Structure and computed X-ray diffraction stick pattern of BaCaW (a cell relaxed with GGA-PBE; Cu Kα, 1.54184 Å).
Peak positions follow from Bragg's law for the DFT cell and can differ from measured ones.

Cell: 6.0299 6.0299 6.0299 Å, 150.12 129.19 60.07°
Element x y z (fractional)
1 Ba 0.0000 0.0000 0.0000
2 Ca 0.6899 0.6899 0.0000
3 W 0.3383 0.3383 0.0000

Main lines, by intensity (2θ from 5° to 70°):
2θ 30.97, intensity 100
2θ 33.63, intensity 82
2θ 38.84, intensity 62
2θ 53.04, intensity 43
2θ 34.67, intensity 38
2θ 19.14, intensity 34

---

# 4
Structure and computed X-ray diffraction stick pattern of BaCaW2 (a cell relaxed with GGA-PBE; Cu Kα, 1.54184 Å).
Peak positions follow from Bragg's law for the DFT cell and can differ from measured ones.

Cell: 3.4430 3.4430 9.6155 Å, 90.00 90.00 90.00°
Element x y z (fractional)
1 Ba 0.0000 0.0000 0.0000
2 Ca 0.5000 0.5000 0.3829
3 W 0.0000 0.0000 0.6167
4 W 0.5000 0.5000 0.7196

Main lines, by intensity (2θ from 5° to 70°):
2θ 9.20, intensity 100
2θ 31.97, intensity 37
2θ 36.92, intensity 30
2θ 38.37, intensity 23
2θ 38.13, intensity 15
2θ 27.83, intensity 14